Entry 1:
Diffraction record for Dy2Ni2Sn. The X-ray diffraction stick pattern is theoretical, not measured: it uses DFT lattice parameters and positions (PBE) and copper Kα.

Peak list (8 most intense, 2θ = 5–70°, low angle first)
| h k l | Position (°2θ) | I (rel.) |
| --- | --- | --- |
| 2 1 0 | 27.4 | 20 |
| 2 0 1 | 34.5 | 59 |
| 2 1 1 | 36.7 | 100 |
| 3 1 0 | 39.1 | 43 |
| 0 0 2 | 49.0 | 18 |
| 4 1 1 | 57.8 | 18 |
| 3 3 1 | 59.3 | 18 |
| 3 1 2 | 64.4 | 20 |

Atomic structure:
```
data_Dy2Ni2Sn
_chemical_formula_sum 'Dy4 Ni4 Sn2'
_cell_length_a 7.284
_cell_length_b 7.284
_cell_length_c 3.717
_cell_angle_alpha 90.00
_cell_angle_beta 90.00
_cell_angle_gamma 90.00
_symmetry_space_group_name_H-M 'P 4/m b m'
_symmetry_Int_Tables_number 127
_symmetry_space_group_name_Hall '-P 4 2ab'
loop_
_atom_site_label
_atom_site_type_symbol
_atom_site_fract_x
_atom_site_fract_y
_atom_site_fract_z
Dy1 Dy 0.176 0.324 0.000
Ni1 Ni 0.121 0.621 0.500
Sn1 Sn 0.000 0.000 0.500
```


Entry 2:
Diffraction record for Dy4Ni12Sn25. The X-ray diffraction stick pattern is theoretical, not measured: it uses DFT lattice parameters and positions (PBE) and copper Kα.

Peak list (8 most intense, 2θ = 5–70°, low angle first)
| h k l | Position (°2θ) | I (rel.) |
| --- | --- | --- |
| 4 1 1 | 31.8 | 100 |
| 4 0 2 | 33.5 | 98 |
| 4 2 2 | 36.8 | 77 |
| 5 3 0 | 44.2 | 39 |
| 5 2 3 | 46.9 | 27 |
| 6 2 4 | 57.7 | 21 |
| 8 0 0 | 62.1 | 26 |
| 7 1 4 | 63.2 | 35 |

Atomic structure:
```
data_Dy4Ni12Sn25
_chemical_formula_sum 'Dy8 Ni24 Sn50'
_cell_length_a 11.951
_cell_length_b 11.951
_cell_length_c 11.951
_cell_angle_alpha 90.00
_cell_angle_beta 90.00
_cell_angle_gamma 90.00
_symmetry_space_group_name_H-M 'I m -3'
_symmetry_Int_Tables_number 204
_symmetry_space_group_name_Hall '-I 2 2 3'
loop_
_atom_site_label
_atom_site_type_symbol
_atom_site_fract_x
_atom_site_fract_y
_atom_site_fract_z
Dy1 Dy 0.250 0.250 0.250
Ni1 Ni 0.000 0.320 0.163
Sn1 Sn 0.000 0.000 0.000
Sn2 Sn 0.000 0.127 0.249
Sn3 Sn 0.000 0.373 0.371
```


Entry 3:
Diffraction record for DyNiSn4. The X-ray diffraction stick pattern is theoretical, not measured: it uses DFT lattice parameters and positions (PBE) and copper Kα.

Peak list (8 most intense, 2θ = 5–70°, low angle first)
| h k l | Position (°2θ) | I (rel.) |
| --- | --- | --- |
| 1 3 1 | 29.8 | 30 |
| 0 10 0 | 31.6 | 45 |
| 1 5 1 | 32.4 | 100 |
| 1 7 1 | 36.0 | 87 |
| 0 0 2 | 39.6 | 52 |
| 1 9 1 | 40.4 | 40 |
| 2 0 0 | 41.0 | 47 |
| 2 0 2 | 58.3 | 34 |

Atomic structure:
```
data_DyNiSn4
_chemical_formula_sum 'Dy4 Ni4 Sn16'
_cell_length_a 4.401
_cell_length_b 28.339
_cell_length_c 4.549
_cell_angle_alpha 90.00
_cell_angle_beta 90.00
_cell_angle_gamma 90.00
_symmetry_space_group_name_H-M 'C m m m'
_symmetry_Int_Tables_number 65
_symmetry_space_group_name_Hall '-C 2 2'
loop_
_atom_site_label
_atom_site_type_symbol
_atom_site_fract_x
_atom_site_fract_y
_atom_site_fract_z
Dy1 Dy 0.000 0.194 0.000
Ni1 Ni 0.000 0.449 0.500
Sn1 Sn 0.000 0.000 0.500
Sn2 Sn 0.000 0.109 0.500
Sn3 Sn 0.000 0.286 0.500
Sn4 Sn 0.000 0.392 0.000
Sn5 Sn 0.000 0.500 0.000
```


Entry 4:
Diffraction record for Dy2O3. The X-ray diffraction stick pattern is theoretical, not measured: it uses DFT lattice parameters and positions (PBE) and copper Kα.

Peak list (8 most intense, 2θ = 5–70°, low angle first)
| h k l | Position (°2θ) | I (rel.) |
| --- | --- | --- |
| 2 1 1 | 20.4 | 10 |
| 2 2 2 | 29.0 | 100 |
| 4 0 0 | 33.6 | 35 |
| 4 3 1 | 43.2 | 8 |
| 4 4 0 | 48.2 | 38 |
| 6 2 2 | 57.2 | 32 |
| 6 3 1 | 58.6 | 6 |
| 4 4 4 | 60.0 | 7 |

Atomic structure:
```
data_Dy2O3
_chemical_formula_sum 'Dy32 O48'
_cell_length_a 10.676
_cell_length_b 10.676
_cell_length_c 10.676
_cell_angle_alpha 90.00
_cell_angle_beta 90.00
_cell_angle_gamma 90.00
_symmetry_space_group_name_H-M 'I a -3'
_symmetry_Int_Tables_number 206
_symmetry_space_group_name_Hall '-I 2b 2c 3'
loop_
_atom_site_label
_atom_site_type_symbol
_atom_site_fract_x
_atom_site_fract_y
_atom_site_fract_z
Dy1 Dy 0.000 0.000 0.000
Dy2 Dy 0.000 0.250 0.282
O1 O 0.099 0.141 0.630
```


Entry 5:
Diffraction record for Dy2O3. The X-ray diffraction stick pattern is theoretical, not measured: it uses DFT lattice parameters and positions (PBE) and copper Kα.

Peak list (8 most intense, 2θ = 5–70°, low angle first)
| h k l | Position (°2θ) | I (rel.) |
| --- | --- | --- |
| 1 0 0 | 28.0 | 28 |
| 0 0 2 | 30.4 | 28 |
| 0 1 1 | 31.9 | 100 |
| 0 1 2 | 41.8 | 24 |
| 1 1 0 | 49.5 | 30 |
| 1 0 3 | 55.0 | 27 |
| 1 1 2 | 59.2 | 26 |
| 2 0 1 | 60.2 | 17 |

Atomic structure:
```
data_Dy2O3
_chemical_formula_sum 'Dy2 O3'
_cell_length_a 3.6800
_cell_length_b 3.6800
_cell_length_c 5.8801
_cell_angle_alpha 90.00
_cell_angle_beta 90.00
_cell_angle_gamma 120.00
_symmetry_space_group_name_H-M 'P -3 m 1'
_symmetry_Int_Tables_number 164
_symmetry_space_group_name_Hall '-P 3 2"'
loop_
_atom_site_label
_atom_site_type_symbol
_atom_site_fract_x
_atom_site_fract_y
_atom_site_fract_z
Dy1 Dy 0.3333 0.6667 0.2500
O1 O 0.0000 0.0000 0.0000
O2 O 0.3333 0.6667 0.6455
```


Entry 6:
Diffraction record for Dy2O3. The X-ray diffraction stick pattern is theoretical, not measured: it uses DFT lattice parameters and positions (PBE) and copper Kα.

Peak list (8 most intense, 2θ = 5–70°, low angle first)
| h k l | Position (°2θ) | I (rel.) |
| --- | --- | --- |
| 1 1 1 | 28.7 | 90 |
| 4 0 1 | 29.5 | 95 |
| 4 0 -2 | 30.2 | 99 |
| 0 0 3 | 31.5 | 63 |
| 3 1 0 | 32.1 | 96 |
| 1 1 -2 | 33.0 | 100 |
| 3 1 3 | 48.1 | 60 |
| 7 1 1 | 56.1 | 52 |

Atomic structure:
```
data_Dy2O3
_chemical_formula_sum 'Dy12 O18'
_cell_length_a 14.076
_cell_length_b 3.507
_cell_length_c 8.664
_cell_angle_alpha 90.00
_cell_angle_beta 100.35
_cell_angle_gamma 90.00
_symmetry_space_group_name_H-M 'C 1 2/m 1'
_symmetry_Int_Tables_number 12
_symmetry_space_group_name_Hall '-C 2y'
loop_
_atom_site_label
_atom_site_type_symbol
_atom_site_fract_x
_atom_site_fract_y
_atom_site_fract_z
Dy1 Dy 0.032 0.000 0.314
Dy2 Dy 0.135 0.500 0.988
Dy3 Dy 0.192 0.500 0.638
O1 O 0.000 0.500 0.500
O2 O 0.029 0.500 0.157
O3 O 0.128 0.000 0.782
O4 O 0.175 0.000 0.470
O5 O 0.206 0.000 0.123
```


Entry 7:
Diffraction record for Dy2O3. The X-ray diffraction stick pattern is theoretical, not measured: it uses DFT lattice parameters and positions (PBE) and copper Kα.

Peak list (8 most intense, 2θ = 5–70°, low angle first)
| h k l | Position (°2θ) | I (rel.) |
| --- | --- | --- |
| 0 0 1 | 16.0 | 9 |
| 1 0 1 | 28.5 | 100 |
| 0 0 2 | 32.2 | 10 |
| 1 1 0 | 33.5 | 25 |
| 1 1 2 | 47.1 | 28 |
| 2 0 0 | 48.0 | 16 |
| 1 0 3 | 55.2 | 9 |
| 2 1 1 | 56.8 | 29 |

Atomic structure:
```
data_Dy2O3
_chemical_formula_sum 'Dy2 O3'
_cell_length_a 3.788
_cell_length_b 3.788
_cell_length_c 5.557
_cell_angle_alpha 90.00
_cell_angle_beta 90.00
_cell_angle_gamma 90.00
_symmetry_space_group_name_H-M 'P -4 m 2'
_symmetry_Int_Tables_number 115
_symmetry_space_group_name_Hall 'P -4 -2'
loop_
_atom_site_label
_atom_site_type_symbol
_atom_site_fract_x
_atom_site_fract_y
_atom_site_fract_z
Dy1 Dy 0.000 0.500 0.211
O1 O 0.000 0.000 0.000
O2 O 0.000 0.000 0.500
O3 O 0.500 0.500 0.000
```